Diffraction record for K2VAgS4. The XRD peak list is theoretical, not measured: it uses a structure optimized by DFT (GGA-PBE) and λ = 1.5418 Å (Cu Kα).

Crystal structure
```
16
Lattice="0.000 6.591 11.315 2.911 0.000 11.315 2.911 6.591 0.000" Properties=species:S:1:pos:R:3 pbc="T T T"
K 2.183 4.943 1.252
K 3.639 8.239 6.910
K 2.183 4.943 15.721
K 3.639 8.239 21.378
V 0.728 1.648 2.829
V 5.094 11.534 19.802
Ag 2.183 4.943 8.486
Ag 3.639 8.239 14.144
S 1.907 2.964 4.115
S 3.915 6.259 9.772
S 2.459 6.923 4.115
S 2.459 2.964 12.858
S 3.363 10.218 9.772
S 3.363 6.259 18.516
S 1.907 6.923 12.858
S 3.915 10.218 18.516
```

Main lines, in order of rising 2θ (2θ from 10° to 80°):
- 2θ 15.56, rel. 100
- 2θ 15.66, rel. 69
- 2θ 27.24, rel. 57
- 2θ 28.06, rel. 77
- 2θ 33.66, rel. 32
- 2θ 37.32, rel. 22
- 2θ 39.09, rel. 40
- 2θ 42.15, rel. 37